# 1
This entry pairs a crystal structure of BaTl4Pt2 with its calculated PXRD pattern. Radiation: a wavelength of 1.5418 Å. Structure: DFT lattice parameters and positions (GGA-PBE).
Lines closer than 0.1° are merged.

Top 10 peaks for 2θ = 10–90°, in order of rising 2θ:
2θ = 30.01°, 2.978 Å, rel. 28; 2θ = 31.05°, 2.880 Å, rel. 100; 2θ = 31.65°, 2.827 Å, rel. 52; 2θ = 33.16°, 2.702 Å, rel. 28; 2θ = 33.94°, 2.641 Å, rel. 29; 2θ = 37.67°, 2.388 Å, rel. 68; 2θ = 40.69°, 2.217 Å, rel. 60; 2θ = 51.61°, 1.771 Å, rel. 21; 2θ = 58.58°, 1.576 Å, rel. 17; 2θ = 59.67°, 1.550 Å, rel. 16

Cell and atoms:
```
BaTl4Pt2
1.0
19.659 0.000 0.000
0.000 4.775 0.000
0.000 0.000 7.766
Ba Tl Pt
4 16 8
Cartesian
2.731 1.194 0.258 Ba
7.098 3.581 4.141 Ba
12.561 1.194 3.625 Ba
16.928 3.581 7.508 Ba
0.626 3.581 6.510 Tl
1.445 1.194 3.939 Tl
3.670 3.581 2.596 Tl
3.768 3.581 5.735 Tl
6.061 1.194 1.852 Tl
6.160 1.194 6.479 Tl
8.385 3.581 0.056 Tl
9.203 1.194 2.627 Tl
10.456 3.581 5.139 Tl
11.274 1.194 7.710 Tl
13.499 3.581 1.287 Tl
13.598 3.581 5.914 Tl
15.891 1.194 2.031 Tl
15.989 1.194 5.170 Tl
18.215 3.581 3.827 Tl
19.033 1.194 1.256 Tl
0.837 3.581 2.073 Pt
4.339 1.194 4.193 Pt
5.490 3.581 0.311 Pt
8.993 1.194 5.956 Pt
10.666 3.581 1.810 Pt
14.169 1.194 7.455 Pt
15.320 3.581 3.572 Pt
18.822 1.194 5.693 Pt
```

# 2
This entry pairs a crystal structure of Ba3TlPt3 with its calculated PXRD pattern. Radiation: a wavelength of 1.5418 Å. Structure: DFT lattice parameters and positions (GGA-PBE).
Lines closer than 0.1° are merged.

Top 10 peaks for 2θ = 10–90°, in order of rising 2θ:
2θ = 14.34°, 6.179 Å, rel. 34; 2θ = 20.82°, 4.267 Å, rel. 30; 2θ = 29.20°, 3.058 Å, rel. 42; 2θ = 29.34°, 3.044 Å, rel. 100; 2θ = 29.68°, 3.010 Å, rel. 56; 2θ = 33.18°, 2.700 Å, rel. 64; 2θ = 34.69°, 2.586 Å, rel. 33; 2θ = 35.67°, 2.517 Å, rel. 95; 2θ = 39.23°, 2.297 Å, rel. 62; 2θ = 55.78°, 1.648 Å, rel. 25

Cell and atoms:
```
Ba3TlPt3
1.0
6.182 -2.297 0.000
6.182 2.297 0.000
-5.700 0.000 14.893
Ba Tl Pt
6 2 6
Cartesian
-1.964 0.000 5.558 Ba
-3.983 0.000 13.792 Ba
1.610 0.000 3.325 Ba
5.054 0.000 11.568 Ba
10.646 0.000 1.101 Ba
8.628 0.000 9.336 Ba
-0.118 0.000 8.814 Tl
6.781 0.000 6.079 Tl
2.102 0.000 6.908 Pt
-0.394 0.000 13.756 Pt
1.324 0.000 11.470 Pt
5.339 0.000 3.423 Pt
7.057 0.000 1.137 Pt
4.562 0.000 7.986 Pt
```